[1]
# Sm4Dy4Y
Simulated X-ray powder pattern, Cu Kα X-rays. Input: a crystal structure in Alexandria, relaxed with PBE.
No peak broadening, texture or thermal motion is included.

Main lines, in order of rising 2θ (2θ from 15° to 90°):
30.5°, d = 2.927 Å, rel. 100
35.4°, d = 2.535 Å, rel. 51
50.9°, d = 1.793 Å, rel. 36
60.5°, d = 1.529 Å, rel. 29
60.6°, d = 1.527 Å, rel. 14
83.0°, d = 1.163 Å, rel. 18

Crystal structure
Lattice parameters (Å, degrees): 8.021 8.021 8.021 95.72 95.72 143.21
Fractional positions:
Sm (0.000, 0.332, 0.332)
Sm (0.000, 0.668, 0.668)
Sm (0.332, 0.000, 0.332)
Sm (0.668, 0.000, 0.668)
Dy (0.333, 0.333, 0.667)
Dy (0.333, 0.667, 0.000)
Dy (0.667, 0.333, 0.000)
Dy (0.667, 0.667, 0.333)
Y (0.000, 0.000, 0.000)

[2]
# Sm3DyY12
Simulated X-ray powder pattern, Cu Kα X-rays. Input: a crystal structure in Alexandria, relaxed with PBE.
No peak broadening, texture or thermal motion is included.

Main lines, in order of rising 2θ (2θ from 15° to 90°):
30.6°, d = 2.923 Å, rel. 100
35.5°, d = 2.531 Å, rel. 50
51.0°, d = 1.790 Å, rel. 35
60.7°, d = 1.526 Å, rel. 41
83.2°, d = 1.161 Å, rel. 17
85.8°, d = 1.132 Å, rel. 15

Crystal structure
Lattice parameters (Å, degrees): 5.062 5.062 20.258 90.00 90.00 90.00
Fractional positions:
Sm (0.000, 0.000, 0.000)
Sm (0.000, 0.000, 0.251)
Sm (0.000, 0.000, 0.749)
Dy (0.000, 0.000, 0.500)
Y (0.000, 0.500, 0.125)
Y (0.000, 0.500, 0.376)
Y (0.000, 0.500, 0.624)
Y (0.000, 0.500, 0.875)
Y (0.500, 0.000, 0.125)
Y (0.500, 0.000, 0.376)
Y (0.500, 0.000, 0.624)
Y (0.500, 0.000, 0.875)
Y (0.500, 0.500, 0.000)
Y (0.500, 0.500, 0.251)
Y (0.500, 0.500, 0.500)
Y (0.500, 0.500, 0.749)

[3]
# Sm4Dy4Y
Simulated X-ray powder pattern, Cu Kα X-rays. Input: a crystal structure in Alexandria, relaxed with PBE.
No peak broadening, texture or thermal motion is included.

Main lines, in order of rising 2θ (2θ from 15° to 90°):
30.8°, d = 2.903 Å, rel. 80
31.4°, d = 2.852 Å, rel. 100
31.8°, d = 2.817 Å, rel. 37
31.9°, d = 2.803 Å, rel. 52
45.7°, d = 1.987 Å, rel. 27
56.6°, d = 1.627 Å, rel. 19

Crystal structure
Lattice parameters (Å, degrees): 8.905 8.905 6.798 111.78 111.78 36.69
Fractional positions:
Sm (0.133, 0.133, 0.462)
Sm (0.281, 0.281, 0.213)
Sm (0.719, 0.719, 0.787)
Sm (0.867, 0.867, 0.538)
Dy (0.073, 0.073, 0.881)
Dy (0.371, 0.371, 0.815)
Dy (0.629, 0.629, 0.185)
Dy (0.927, 0.927, 0.119)
Y (0.500, 0.500, 0.500)

[4]
# SmDy6Y
Simulated X-ray powder pattern, Cu Kα X-rays. Input: a crystal structure in Alexandria, relaxed with PBE.
No peak broadening, texture or thermal motion is included.

Main lines, in order of rising 2θ (2θ from 15° to 90°):
30.8°, d = 2.905 Å, rel. 100
35.7°, d = 2.516 Å, rel. 51
51.4°, d = 1.779 Å, rel. 36
61.1°, d = 1.517 Å, rel. 43
83.8°, d = 1.154 Å, rel. 18
86.5°, d = 1.125 Å, rel. 17

Crystal structure
Lattice parameters (Å, degrees): 5.033 5.033 10.059 90.00 90.00 90.00
Fractional positions:
Sm (0.000, 0.000, 0.000)
Dy (0.000, 0.500, 0.250)
Dy (0.000, 0.500, 0.750)
Dy (0.500, 0.000, 0.250)
Dy (0.500, 0.000, 0.750)
Dy (0.500, 0.500, 0.000)
Dy (0.500, 0.500, 0.500)
Y (0.000, 0.000, 0.500)

[5]
# SmDy12Y3
Simulated X-ray powder pattern, Cu Kα X-rays. Input: a crystal structure in Alexandria, relaxed with PBE.
No peak broadening, texture or thermal motion is included.

Main lines, in order of rising 2θ (2θ from 15° to 90°):
30.8°, d = 2.902 Å, rel. 100
35.7°, d = 2.513 Å, rel. 51
51.4°, d = 1.777 Å, rel. 36
61.2°, d = 1.515 Å, rel. 43
83.9°, d = 1.153 Å, rel. 18
86.6°, d = 1.124 Å, rel. 16

Crystal structure
Lattice parameters (Å, degrees): 5.027 5.027 20.093 90.00 90.00 90.00
Fractional positions:
Sm (0.000, 0.000, 0.000)
Dy (0.000, 0.500, 0.125)
Dy (0.000, 0.500, 0.375)
Dy (0.000, 0.500, 0.625)
Dy (0.000, 0.500, 0.875)
Dy (0.500, 0.000, 0.125)
Dy (0.500, 0.000, 0.375)
Dy (0.500, 0.000, 0.625)
Dy (0.500, 0.000, 0.875)
Dy (0.500, 0.500, 0.000)
Dy (0.500, 0.500, 0.251)
Dy (0.500, 0.500, 0.500)
Dy (0.500, 0.500, 0.749)
Y (0.000, 0.000, 0.250)
Y (0.000, 0.000, 0.500)
Y (0.000, 0.000, 0.750)

[6]
# Sm6DyY8
Simulated X-ray powder pattern, Cu Kα X-rays. Input: a crystal structure in Alexandria, relaxed with PBE.
No peak broadening, texture or thermal motion is included.

Main lines, in order of rising 2θ (2θ from 15° to 90°):
29.6°, d = 3.014 Å, rel. 100
30.0°, d = 2.981 Å, rel. 27
34.5°, d = 2.603 Å, rel. 52
35.2°, d = 2.550 Å, rel. 41
49.3°, d = 1.848 Å, rel. 16
49.7°, d = 1.833 Å, rel. 16

Crystal structure
Lattice parameters (Å, degrees): 8.213 8.213 8.213 73.10 73.10 73.10
Fractional positions:
Sm (0.111, 0.782, 0.577)
Sm (0.218, 0.423, 0.889)
Sm (0.423, 0.889, 0.218)
Sm (0.577, 0.111, 0.782)
Sm (0.782, 0.577, 0.111)
Sm (0.889, 0.218, 0.423)
Dy (0.500, 0.500, 0.500)
Y (0.085, 0.085, 0.085)
Y (0.145, 0.575, 0.270)
Y (0.270, 0.145, 0.575)
Y (0.425, 0.730, 0.855)
Y (0.575, 0.270, 0.145)
Y (0.730, 0.855, 0.425)
Y (0.855, 0.425, 0.730)
Y (0.915, 0.915, 0.915)

[7]
# Sm6DyY4
Simulated X-ray powder pattern, Cu Kα X-rays. Input: a crystal structure in Alexandria, relaxed with PBE.
No peak broadening, texture or thermal motion is included.

Main lines, in order of rising 2θ (2θ from 15° to 90°):
30.1°, d = 2.968 Å, rel. 86
30.4°, d = 2.938 Å, rel. 62
30.7°, d = 2.913 Å, rel. 83
31.6°, d = 2.830 Å, rel. 100
31.8°, d = 2.814 Å, rel. 54
33.0°, d = 2.711 Å, rel. 56

Crystal structure
Lattice parameters (Å, degrees): 5.664 5.664 25.822 90.00 90.00 118.09
Fractional positions:
Sm (0.000, 0.000, 0.000)
Sm (0.000, 0.000, 0.500)
Sm (0.044, 0.956, 0.750)
Sm (0.303, 0.697, 0.103)
Sm (0.303, 0.697, 0.397)
Sm (0.372, 0.628, 0.683)
Sm (0.372, 0.628, 0.817)
Sm (0.628, 0.372, 0.183)
Sm (0.628, 0.372, 0.317)
Sm (0.697, 0.303, 0.603)
Sm (0.697, 0.303, 0.897)
Sm (0.956, 0.044, 0.250)
Dy (0.293, 0.707, 0.250)
Dy (0.707, 0.293, 0.750)
Y (0.038, 0.962, 0.623)
Y (0.038, 0.962, 0.877)
Y (0.349, 0.651, 0.544)
Y (0.349, 0.651, 0.956)
Y (0.651, 0.349, 0.044)
Y (0.651, 0.349, 0.456)
Y (0.962, 0.038, 0.123)
Y (0.962, 0.038, 0.377)

[8]
# SmDy12Y6
Simulated X-ray powder pattern, Cu Kα X-rays. Input: a crystal structure in Alexandria, relaxed with PBE.
No peak broadening, texture or thermal motion is included.

Main lines, in order of rising 2θ (2θ from 15° to 90°):
24.8°, d = 3.592 Å, rel. 33
28.6°, d = 3.116 Å, rel. 100
31.3°, d = 2.861 Å, rel. 68
34.0°, d = 2.638 Å, rel. 36
41.5°, d = 2.177 Å, rel. 22
48.8°, d = 1.865 Å, rel. 24

Crystal structure
Lattice parameters (Å, degrees): 8.820 8.820 8.820 98.64 98.64 98.64
Fractional positions:
Sm (0.000, 0.000, 0.000)
Dy (0.118, 0.500, 0.882)
Dy (0.118, 0.882, 0.500)
Dy (0.184, 0.470, 0.470)
Dy (0.470, 0.184, 0.470)
Dy (0.470, 0.470, 0.184)
Dy (0.500, 0.118, 0.882)
Dy (0.500, 0.882, 0.118)
Dy (0.530, 0.530, 0.816)
Dy (0.530, 0.816, 0.530)
Dy (0.816, 0.530, 0.530)
Dy (0.882, 0.118, 0.500)
Dy (0.882, 0.500, 0.118)
Y (0.204, 0.204, 0.743)
Y (0.204, 0.743, 0.204)
Y (0.257, 0.796, 0.796)
Y (0.743, 0.204, 0.204)
Y (0.796, 0.257, 0.796)
Y (0.796, 0.796, 0.257)

Q: Number 1 is which compound?
A: Sm4Dy4Y

Q: Which formula does entry 4 have?
A: SmDy6Y